No. 1
Starting from the GGA-PBE geometry in Alexandria, the XRD peak list of Tb2BHPt6 was calculated for Cu Kα X-rays.

The 6 most intense peaks (10° ≤ 2θ ≤ 90°), by angle:
Position (°2θ)  intensity
33.7  601
37.2  505
37.4  1000
42.1  353
42.4  348
42.5  344

abc: 5.8275 5.8308 6.2676
angles: 90.14 117.25 119.76
Space group P1 (No. 1)
Asymmetric unit:
Tb  0.0000  0.0000  0.0000
Tb  0.0343  0.5175  0.5582
B  0.5252  0.2620  0.7868
H  0.7033  0.8486  0.5552
Pt  0.0108  0.0058  0.4948
Pt  0.0320  0.5161  0.0484
Pt  0.4846  0.4803  0.4952
Pt  0.4863  0.0034  0.4957
Pt  0.5294  0.5160  0.0457
Pt  0.5296  0.0144  0.0460

***

No. 2
Starting from the GGA-PBE geometry in Alexandria, the XRD peak list of PuB3H12 was calculated for Cu Kα X-rays.

The 6 most intense peaks (10° ≤ 2θ ≤ 90°), by angle:
Position (°2θ)  intensity
13.3  593
20.7  1000
23.1  496
31.2  420
39.1  484
39.8  258

abc: 7.7133 7.7133 5.5929
angles: 90.00 90.00 120.00
Space group P6_3/m (No. 176)
Asymmetric unit:
Pu  0.3333  0.6667  0.2500
B  0.0659  0.6399  0.7500
H  0.0066  0.4594  0.7500
H  0.0752  0.3263  0.2500
H  0.1685  0.7210  0.5730

***

No. 3
Starting from the GGA-PBE geometry in Alexandria, the XRD peak list of RbScB2H8 was calculated for Cu Kα X-rays.

The 6 most intense peaks (10° ≤ 2θ ≤ 90°), by angle:
Position (°2θ)  intensity
22.4  397
26.6  706
29.7  1000
39.8  407
45.0  294
50.8  274

abc: 4.0300 4.0300 23.8505
angles: 90.00 90.00 120.00
Space group R-3m (No. 166, hexagonal axes)
Asymmetric unit:
Rb  0.0000  0.0000  0.0000
Sc  0.0000  0.0000  0.5000
B  0.0000  0.0000  0.2326
H  0.0000  0.0000  0.2840
H  0.0019  0.5010  0.5481

***

No. 4
Starting from the GGA-PBE geometry in Alexandria, the XRD peak list of ReB2H was calculated for Cu Kα X-rays.

The 6 most intense peaks (10° ≤ 2θ ≤ 90°), by angle:
Position (°2θ)  intensity
26.4  1000
37.6  722
40.1  805
50.6  206
58.0  299
64.7  374

abc: 3.6071 3.6071 9.5674
angles: 90.00 90.00 90.00
Space group I4_1/amd (No. 141, origin choice 2)
Asymmetric unit:
Re  0.0000  0.2500  0.3750
B  0.0000  0.0000  0.0000
H  0.0000  0.2500  0.8750

***

No. 5
Starting from the GGA-PBE geometry in Alexandria, the XRD peak list of BH2Rh3 was calculated for Cu Kα X-rays.

The 6 most intense peaks (10° ≤ 2θ ≤ 90°), by angle:
Position (°2θ)  intensity
35.7  488
40.1  1000
51.4  178
64.1  169
67.2  211
75.6  209

abc: 5.0311 5.0311 15.0596
angles: 90.00 90.00 120.00
Space group R-3c (No. 167, hexagonal axes)
Asymmetric unit:
B  0.0000  0.0000  0.0000
H  0.0000  0.0000  0.1743
Rh  0.0000  0.3260  0.2500

***

No. 6
Starting from the GGA-PBE geometry in Alexandria, the XRD peak list of B2H6Rh was calculated for Cu Kα X-rays.

The 6 most intense peaks (10° ≤ 2θ ≤ 90°), by angle:
Position (°2θ)  intensity
13.8  1000
20.4  378
23.5  350
25.8  144
27.8  120
36.4  146

abc: 2.6640 4.5120 6.4510
angles: 94.62 93.48 103.71
Space group P-1 (No. 2)
Asymmetric unit:
B  0.1316  0.2139  0.2292
H  0.1435  0.2505  0.4157
H  0.3709  0.7035  0.1667
H  0.3735  0.4940  0.1470
Rh  0.5000  0.0000  0.0000

***

No. 7
Starting from the GGA-PBE geometry in Alexandria, the XRD peak list of B5HRh8 was calculated for Cu Kα X-rays.

The 6 most intense peaks (10° ≤ 2θ ≤ 90°), by angle:
Position (°2θ)  intensity
32.9  256
37.5  1000
38.5  530
41.1  302
43.1  253
43.3  214

abc: 6.6088 6.6088 6.9793
angles: 90.00 90.00 90.00
Space group I-4 (No. 82)
Asymmetric unit:
B  0.0000  0.0000  0.0000
B  0.0795  0.7549  0.3798
H  0.0000  0.5000  0.7500
Rh  0.0368  0.7065  0.0877
Rh  0.0370  0.7902  0.6714

***

No. 8
Starting from the GGA-PBE geometry in Alexandria, the XRD peak list of BH5Rh4 was calculated for Cu Kα X-rays.

The 6 most intense peaks (10° ≤ 2θ ≤ 90°), by angle:
Position (°2θ)  intensity
31.8  1000
34.9  882
35.3  616
39.1  604
41.6  564
46.4  621

abc: 11.2548 2.8427 5.7333
angles: 90.00 116.40 90.00
Space group C2/m (No. 12)
Asymmetric unit:
B  0.0000  0.0000  0.0000
H  0.0000  0.0000  0.5000
H  0.1465  0.5000  0.4118
H  0.2080  0.5000  0.0678
Rh  0.0465  0.5000  0.7673
Rh  0.2004  0.0000  0.2572

***

Copy entry 6 word for word.
Starting from the GGA-PBE geometry in Alexandria, the XRD peak list of B2H6Rh was calculated for Cu Kα X-rays.

The 6 most intense peaks (10° ≤ 2θ ≤ 90°), by angle:
Position (°2θ)  intensity
13.8  1000
20.4  378
23.5  350
25.8  144
27.8  120
36.4  146

abc: 2.6640 4.5120 6.4510
angles: 94.62 93.48 103.71
Space group P-1 (No. 2)
Asymmetric unit:
B  0.1316  0.2139  0.2292
H  0.1435  0.2505  0.4157
H  0.3709  0.7035  0.1667
H  0.3735  0.4940  0.1470
Rh  0.5000  0.0000  0.0000

***

Question: Number 6 is which compound?
Answer: B2H6Rh